No. 1
Na2GeS3O7: computed XRD peak list (Cu Kα), based on the GGA-PBE geometry in the Materials Project.

Structural model:
```
data_Na2GeS3O7
_symmetry_space_group_name_H-M 'P -1'
_symmetry_Int_Tables_number 2
_cell_length_a 6.7849
_cell_length_b 8.4851
_cell_length_c 8.9814
_cell_angle_alpha 105.57
_cell_angle_beta 97.93
_cell_angle_gamma 101.74
loop_
_symmetry_equiv_pos_as_xyz
'x,y,z'
'-x,-y,-z'
loop_
_atom_site_label
_atom_site_type_symbol
_atom_site_fract_x
_atom_site_fract_y
_atom_site_fract_z
_atom_site_occupancy
Na1 Na 0.0410 0.4398 0.1807 1
Na2 Na 0.2991 0.3441 0.4815 1
Ge1 Ge 0.3475 0.9511 0.8421 1
S1 S 0.2283 0.9041 0.5169 1
S2 S 0.2734 0.0226 0.1196 1
S3 S 0.3606 0.3782 0.8931 1
O1 O 0.0088 0.8110 0.4680 1
O2 O 0.1647 0.4069 0.9387 1
O3 O 0.2376 0.7469 0.8204 1
O4 O 0.2426 0.1905 0.2169 1
O5 O 0.2572 0.5915 0.4310 1
O6 O 0.3696 0.7582 0.4749 1
O7 O 0.3987 0.4200 0.7491 1
```

Top 12 peaks for 2θ from 5° to 70°, in order of rising 2θ:
2theta  I/Imax
11.2  26
13.6  24
15.4  51
19.2  27
21.7  100
23.2  52
27.3  32
27.4  35
30.2  25
31.7  76
32.3  24
33.1  23

***

No. 2
Hf8MgN8O4: computed XRD peak list (Cu Kα), based on the GGA-PBE geometry in the Materials Project.

Structural model:
```
data_Hf8MgN8O4
_symmetry_space_group_name_H-M 'P 1'
_symmetry_Int_Tables_number 1
_cell_length_a 5.4278
_cell_length_b 5.4665
_cell_length_c 10.4358
_cell_angle_alpha 85.60
_cell_angle_beta 78.87
_cell_angle_gamma 60.24
loop_
_symmetry_equiv_pos_as_xyz
'x,y,z'
loop_
_atom_site_label
_atom_site_type_symbol
_atom_site_fract_x
_atom_site_fract_y
_atom_site_fract_z
_atom_site_occupancy
Hf1 Hf 0.0000 0.0000 0.0000 1
Hf2 Hf 0.0654 0.3838 0.7628 1
Hf3 Hf 0.1907 0.3502 0.4682 1
Hf4 Hf 0.3270 0.3501 0.0284 1
Hf5 Hf 0.5079 0.6772 0.5473 1
Hf6 Hf 0.6147 0.6858 0.2466 1
Hf7 Hf 0.7490 0.0412 0.7288 1
Hf8 Hf 0.9164 0.0186 0.2933 1
Mg1 Mg 0.6271 0.7063 0.9716 1
N1 N 0.0087 0.7062 0.8756 1
N2 N 0.2959 0.9883 0.1298 1
N3 N 0.4320 0.3458 0.6244 1
N4 N 0.5442 0.9822 0.3856 1
N5 N 0.7038 0.3257 0.8827 1
N6 N 0.8197 0.6682 0.6292 1
N7 N 0.8386 0.3810 0.3913 1
N8 N 0.9640 0.7068 0.1425 1
O1 O 0.1160 0.0508 0.6229 1
O2 O 0.2295 0.6875 0.3845 1
O3 O 0.3658 0.0564 0.8715 1
O4 O 0.6497 0.3127 0.1502 1
```

Top 12 peaks for 2θ from 5° to 70°, in order of rising 2θ:
2theta  I/Imax
20.8  25
22.2  25
28.2  48
29.9  68
32.0  53
32.9  66
33.0  100
33.1  24
35.1  36
45.3  22
47.2  32
58.8  41

***

No. 3
Mo3WSe4S4: computed XRD peak list (Cu Kα), based on the GGA-PBE geometry in the Materials Project.

Structural model:
```
data_Mo3WSe4S4
_symmetry_space_group_name_H-M 'P 3 m 1'
_symmetry_Int_Tables_number 156
_cell_length_a 3.2570
_cell_length_b 3.2570
_cell_length_c 41.6266
_cell_angle_alpha 90.00
_cell_angle_beta 90.00
_cell_angle_gamma 120.00
loop_
_symmetry_equiv_pos_as_xyz
'x,y,z'
'-y,x-y,z'
'-x+y,-x,z'
'-y,-x,z'
'-x+y,y,z'
'x,x-y,z'
loop_
_atom_site_label
_atom_site_type_symbol
_atom_site_fract_x
_atom_site_fract_y
_atom_site_fract_z
_atom_site_occupancy
Mo1 Mo 0.0000 0.0000 0.0000 1
Mo2 Mo 0.0000 0.0000 0.3743 1
Mo3 Mo 0.3333 0.6667 0.1876 1
W1 W 0.3333 0.6667 0.5708 1
Se1 Se 0.0000 0.0000 0.5298 1
Se2 Se 0.0000 0.0000 0.6118 1
Se3 Se 0.3333 0.6667 0.3335 1
Se4 Se 0.3333 0.6667 0.4151 1
S1 S 0.0000 0.0000 0.1505 1
S2 S 0.0000 0.0000 0.2247 1
S3 S 0.3333 0.6667 0.0371 1
S4 S 0.3333 0.6667 0.9629 1
```

Top 12 peaks for 2θ from 5° to 70°, in order of rising 2θ:
2theta  I/Imax
6.4  40
8.5  10
10.6  100
12.8  14
31.7  19
33.5  11
36.2  30
39.9  6
41.2  6
42.7  34
56.5  13
57.7  8

***

No. 4
HgF2: computed XRD peak list (Cu Kα), based on the GGA-PBE geometry in the Materials Project.

Structural model:
```
data_HgF2
_symmetry_space_group_name_H-M 'P 42/m n m'
_symmetry_Int_Tables_number 136
_symmetry_space_group_name_Hall '-P 4n 2n'
_cell_length_a 5.2491
_cell_length_b 5.2491
_cell_length_c 3.8233
_cell_angle_alpha 90.00
_cell_angle_beta 90.00
_cell_angle_gamma 90.00
loop_
_atom_site_label
_atom_site_type_symbol
_atom_site_fract_x
_atom_site_fract_y
_atom_site_fract_z
_atom_site_occupancy
Hg1 Hg 0.0000 0.0000 0.0000 1
F1 F 0.1938 0.1938 0.5000 1
```

Top 12 peaks for 2θ from 5° to 70°, in order of rising 2θ:
2theta  I/Imax
24.0  96
28.9  100
33.7  2
34.2  27
45.3  77
47.6  11
49.1  17
54.0  22
55.3  18
58.0  22
59.9  12
69.0  17

***

No. 5
TmSbIr: computed XRD peak list (Cu Kα), based on the GGA-PBE geometry in the Materials Project.

Structural model:
```
data_TmSbIr
_symmetry_space_group_name_H-M 'P n m a'
_symmetry_Int_Tables_number 62
_cell_length_a 7.1104
_cell_length_b 4.4701
_cell_length_c 7.9788
_cell_angle_alpha 90.00
_cell_angle_beta 90.00
_cell_angle_gamma 90.00
loop_
_symmetry_equiv_pos_as_xyz
'x,y,z'
'-x,-y,-z'
'-x+1/2,-y,z+1/2'
'x+1/2,y,-z+1/2'
'x+1/2,-y+1/2,-z+1/2'
'-x+1/2,y+1/2,z+1/2'
'-x,y+1/2,-z'
'x,-y+1/2,z'
loop_
_atom_site_label
_atom_site_type_symbol
_atom_site_fract_x
_atom_site_fract_y
_atom_site_fract_z
_atom_site_occupancy
Tm1 Tm 0.0122 0.2500 0.1884 1
Sb1 Sb 0.1747 0.2500 0.5884 1
Ir1 Ir 0.2139 0.7500 0.4087 1
```

Top 12 peaks for 2θ from 5° to 70°, in order of rising 2θ:
2theta  I/Imax
26.1  11
32.6  59
33.8  31
34.1  100
39.4  59
39.7  29
40.4  45
47.3  16
53.6  17
57.9  19
64.5  24
69.4  13

***

No. 6
Sc4FeSi7: computed XRD peak list (Cu Kα), based on the GGA-PBE geometry in the Materials Project.

Structural model:
```
data_Sc4FeSi7
_symmetry_space_group_name_H-M 'P m m 2'
_symmetry_Int_Tables_number 25
_cell_length_a 3.6448
_cell_length_b 3.8495
_cell_length_c 14.0764
_cell_angle_alpha 90.00
_cell_angle_beta 90.00
_cell_angle_gamma 90.00
loop_
_symmetry_equiv_pos_as_xyz
'x,y,z'
'-x,-y,z'
'-x,y,z'
'x,-y,z'
loop_
_atom_site_label
_atom_site_type_symbol
_atom_site_fract_x
_atom_site_fract_y
_atom_site_fract_z
_atom_site_occupancy
Sc1 Sc 0.0000 0.0000 0.0000 1
Sc2 Sc 0.0000 0.5000 0.4847 1
Sc3 Sc 0.5000 0.0000 0.1819 1
Sc4 Sc 0.5000 0.5000 0.6966 1
Fe1 Fe 0.5000 0.5000 0.9926 1
Si1 Si 0.0000 0.0000 0.3388 1
Si2 Si 0.0000 0.0000 0.6403 1
Si3 Si 0.0000 0.5000 0.1287 1
Si4 Si 0.0000 0.5000 0.8563 1
Si5 Si 0.5000 0.0000 0.5291 1
Si6 Si 0.5000 0.0000 0.8545 1
Si7 Si 0.5000 0.5000 0.3272 1
```

Top 12 peaks for 2θ from 5° to 70°, in order of rising 2θ:
2theta  I/Imax
6.3  20
12.6  9
30.0  5
34.5  4
38.4  17
39.1  100
39.7  5
47.2  19
50.1  13
62.4  7
64.8  7
69.8  5

***

No. 7
BiPO4: computed XRD peak list (Cu Kα), based on the GGA-PBE geometry in the Materials Project.

Structural model:
```
data_BiPO4
_symmetry_space_group_name_H-M 'P 1 21/c 1'
_symmetry_Int_Tables_number 14
_cell_length_a 6.5398
_cell_length_b 7.0296
_cell_length_c 8.2383
_cell_angle_alpha 90.00
_cell_angle_beta 126.12
_cell_angle_gamma 90.00
loop_
_symmetry_equiv_pos_as_xyz
'x,y,z'
'-x,-y,-z'
'-x,y+1/2,-z+1/2'
'x,-y+1/2,z+1/2'
loop_
_atom_site_label
_atom_site_type_symbol
_atom_site_fract_x
_atom_site_fract_y
_atom_site_fract_z
_atom_site_occupancy
Bi1 Bi 0.2009 0.1431 0.2861 1
P1 P 0.3138 0.6603 0.2022 1
O1 O 0.1395 0.6607 0.6218 1
O2 O 0.1796 0.5045 0.2394 1
O3 O 0.3572 0.5984 0.0401 1
O4 O 0.4094 0.2024 0.1160 1
```

Top 12 peaks for 2θ from 5° to 70°, in order of rising 2θ:
2theta  I/Imax
18.8  48
21.0  57
25.1  21
26.8  53
28.7  100
30.9  68
33.9  26
41.1  22
42.3  22
46.0  25
48.3  25
51.2  23

***

No. 8
TeMoWSeS2: computed XRD peak list (Cu Kα), based on the GGA-PBE geometry in the Materials Project.

Structural model:
```
data_TeMoWSeS2
_symmetry_space_group_name_H-M 'P 3 m 1'
_symmetry_Int_Tables_number 156
_cell_length_a 3.3087
_cell_length_b 3.3087
_cell_length_c 37.6454
_cell_angle_alpha 90.00
_cell_angle_beta 90.00
_cell_angle_gamma 120.00
loop_
_symmetry_equiv_pos_as_xyz
'x,y,z'
'-y,x-y,z'
'-x+y,-x,z'
'-y,-x,z'
'-x+y,y,z'
'x,x-y,z'
loop_
_atom_site_label
_atom_site_type_symbol
_atom_site_fract_x
_atom_site_fract_y
_atom_site_fract_z
_atom_site_occupancy
Te1 Te 0.0000 0.0000 0.0000 1
Te2 Te 0.0000 0.0000 0.1023 1
Mo1 Mo 0.0000 0.0000 0.8632 1
Mo2 Mo 0.3333 0.6667 0.6754 1
W1 W 0.0000 0.0000 0.4875 1
W2 W 0.3333 0.6667 0.0512 1
Se1 Se 0.0000 0.0000 0.6308 1
Se2 Se 0.0000 0.0000 0.7200 1
S1 S 0.3333 0.6667 0.4468 1
S2 S 0.3333 0.6667 0.5282 1
S3 S 0.3333 0.6667 0.8227 1
S4 S 0.3333 0.6667 0.9038 1
```

Top 12 peaks for 2θ from 5° to 70°, in order of rising 2θ:
2theta  I/Imax
7.0  69
11.8  100
14.1  17
31.2  39
33.5  16
34.4  16
36.7  83
39.5  19
44.5  41
46.3  13
55.6  24
68.5  13

***

No. 9
Er2ZrS5: computed XRD peak list (Cu Kα), based on the GGA-PBE geometry in the Materials Project.

Structural model:
```
data_Er2ZrS5
_symmetry_space_group_name_H-M 'P n m a'
_symmetry_Int_Tables_number 62
_cell_length_a 11.5624
_cell_length_b 7.7163
_cell_length_c 7.2305
_cell_angle_alpha 90.00
_cell_angle_beta 90.00
_cell_angle_gamma 90.00
loop_
_symmetry_equiv_pos_as_xyz
'x,y,z'
'-x,-y,-z'
'-x+1/2,-y,z+1/2'
'x+1/2,y,-z+1/2'
'x+1/2,-y+1/2,-z+1/2'
'-x+1/2,y+1/2,z+1/2'
'-x,y+1/2,-z'
'x,-y+1/2,z'
loop_
_atom_site_label
_atom_site_type_symbol
_atom_site_fract_x
_atom_site_fract_y
_atom_site_fract_z
_atom_site_occupancy
Er1 Er 0.1790 0.0021 0.0213 1
Zr1 Zr 0.0069 0.7500 0.5796 1
S1 S 0.0021 0.7500 0.9515 1
S2 S 0.0961 0.0383 0.6611 1
S3 S 0.1830 0.7500 0.3301 1
S4 S 0.2092 0.2500 0.3074 1
```

Top 12 peaks for 2θ from 5° to 70°, in order of rising 2θ:
2theta  I/Imax
24.6  54
26.2  100
27.3  49
27.8  53
34.0  33
35.2  68
37.5  71
44.3  27
47.1  46
47.5  47
53.9  31
54.7  28

***

No. 10
BaAl2Se4: computed XRD peak list (Cu Kα), based on the GGA-PBE geometry in the Materials Project.

Structural model:
```
data_BaAl2Se4
_symmetry_space_group_name_H-M 'C c c m'
_symmetry_Int_Tables_number 66
_symmetry_space_group_name_Hall '-C 2 2c'
_cell_length_a 6.2398
_cell_length_b 11.5693
_cell_length_c 11.6208
_cell_angle_alpha 90.00
_cell_angle_beta 90.00
_cell_angle_gamma 90.00
loop_
_atom_site_label
_atom_site_type_symbol
_atom_site_fract_x
_atom_site_fract_y
_atom_site_fract_z
_atom_site_occupancy
Ba1 Ba 0.0000 0.0000 0.2500 1
Al1 Al 0.0009 0.2574 0.0000 1
Se1 Se 0.2387 0.0908 0.5000 1
Se2 Se 0.2500 0.2500 0.1592 1
```

Top 12 peaks for 2θ from 5° to 70°, in order of rising 2θ:
2theta  I/Imax
16.1  31
22.3  23
28.2  100
30.8  10
30.9  10
31.3  10
32.6  17
34.6  30
36.2  43
48.0  16
50.4  19
53.5  21

***

No. 11
Al2PdRu: computed XRD peak list (Cu Kα), based on the GGA-PBE geometry in the Materials Project.

Structural model:
```
data_Al2PdRu
_symmetry_space_group_name_H-M 'F m -3 m'
_symmetry_Int_Tables_number 225
_symmetry_space_group_name_Hall '-F 4 2 3'
_cell_length_a 6.0516
_cell_length_b 6.0516
_cell_length_c 6.0516
_cell_angle_alpha 90.00
_cell_angle_beta 90.00
_cell_angle_gamma 90.00
loop_
_atom_site_label
_atom_site_type_symbol
_atom_site_fract_x
_atom_site_fract_y
_atom_site_fract_z
_atom_site_occupancy
Al1 Al 0.2500 0.2500 0.2500 1
Pd1 Pd 0.0000 0.0000 0.0000 1
Ru1 Ru 0.0000 0.0000 0.5000 1
```

Top 5 peaks for 2θ from 5° to 70°, in order of rising 2θ:
2theta  I/Imax
29.5  47
42.2  100
52.4  12
61.3  16
69.5  16

***

No. 12
HgPd: computed XRD peak list (Cu Kα), based on the GGA-PBE geometry in the Materials Project.

Structural model:
```
data_HgPd
_symmetry_space_group_name_H-M 'P 21 3'
_symmetry_Int_Tables_number 198
_symmetry_space_group_name_Hall 'P 2ac 2ab 3'
_cell_length_a 5.3233
_cell_length_b 5.3233
_cell_length_c 5.3233
_cell_angle_alpha 90.00
_cell_angle_beta 90.00
_cell_angle_gamma 90.00
loop_
_atom_site_label
_atom_site_type_symbol
_atom_site_fract_x
_atom_site_fract_y
_atom_site_fract_z
_atom_site_occupancy
Hg1 Hg 0.1564 0.1564 0.1564 1
Pd1 Pd 0.1525 0.3475 0.6525 1
```

Top 12 peaks for 2θ from 5° to 70°, in order of rising 2θ:
2theta  I/Imax
23.6  9
29.1  14
33.7  15
37.8  100
41.6  48
48.4  2
51.5  11
54.5  4
57.4  9
60.2  2
63.0  4
65.6  38

***

Copy entry 5 word for word.
TmSbIr: computed XRD peak list (Cu Kα), based on the GGA-PBE geometry in the Materials Project.

Structural model:
```
data_TmSbIr
_symmetry_space_group_name_H-M 'P n m a'
_symmetry_Int_Tables_number 62
_cell_length_a 7.1104
_cell_length_b 4.4701
_cell_length_c 7.9788
_cell_angle_alpha 90.00
_cell_angle_beta 90.00
_cell_angle_gamma 90.00
loop_
_symmetry_equiv_pos_as_xyz
'x,y,z'
'-x,-y,-z'
'-x+1/2,-y,z+1/2'
'x+1/2,y,-z+1/2'
'x+1/2,-y+1/2,-z+1/2'
'-x+1/2,y+1/2,z+1/2'
'-x,y+1/2,-z'
'x,-y+1/2,z'
loop_
_atom_site_label
_atom_site_type_symbol
_atom_site_fract_x
_atom_site_fract_y
_atom_site_fract_z
_atom_site_occupancy
Tm1 Tm 0.0122 0.2500 0.1884 1
Sb1 Sb 0.1747 0.2500 0.5884 1
Ir1 Ir 0.2139 0.7500 0.4087 1
```

Top 12 peaks for 2θ from 5° to 70°, in order of rising 2θ:
2theta  I/Imax
26.1  11
32.6  59
33.8  31
34.1  100
39.4  59
39.7  29
40.4  45
47.3  16
53.6  17
57.9  19
64.5  24
69.4  13